Computed powder XRD pattern of NaNbAsSe2 for Cu Kα, 1.54184 Å, from a structure optimized by DFT (GGA-PBE).

Most intense lines, 10° ≤ 2θ ≤ 90°, sorted by position:
17.42 deg, I = 100, (0 0 1); 30.41 deg, I = 41, (1 1 1); 35.22 deg, I = 63, (2 0 0); 35.36 deg, I = 31, (0 0 2); 39.55 deg, I = 33, (2 0 1); 39.66 deg, I = 16, (1 0 2); 50.66 deg, I = 22, (2 2 0); 50.76 deg, I = 44, (2 0 2); 63.29 deg, I = 22, (2 2 2); 85.17 deg, I = 19, (4 2 0)

a = 5.0970 Å, b = 5.0970 Å, c = 5.0774 Å
α = 90.00°, β = 90.00°, γ = 90.00°
Space group P4/mmm (No. 123)
Unique sites:
Na: 0.0000 0.0000 0.0000 x1
Nb: 0.5000 0.5000 0.5000 x1
As: 0.5000 0.5000 0.0000 x1
Se: 0.0000 0.5000 0.5000 x2


Computed powder XRD pattern of KAg6Pd2 for Cu Kα, 1.54184 Å, from a structure optimized by DFT (GGA-PBE).

Most intense lines, 10° ≤ 2θ ≤ 90°, sorted by position:
12.46 deg, I = 12, (1 1 1); 20.41 deg, I = 25, (2 2 0); 23.99 deg, I = 20, (3 1 1); 25.07 deg, I = 14, (2 2 2); 29.03 deg, I = 39, (4 0 0); 35.75 deg, I = 12, (4 2 2); 41.52 deg, I = 100, (4 4 0); 60.16 deg, I = 16, (8 0 0); 68.16 deg, I = 12, (8 4 0); 75.74 deg, I = 31, (8 4 4)

a = 12.3046 Å, b = 12.3046 Å, c = 12.3046 Å
α = 90.00°, β = 90.00°, γ = 90.00°
Space group Fd-3m (No. 227, origin choice 2)
Unique sites:
K: 0.1250 0.1250 0.1250 x8
Ag: 0.1216 0.3750 0.8750 x48
Pd: 0.0000 0.0000 0.5000 x16


Computed powder XRD pattern of DyTmB for Cu Kα, 1.54184 Å, from a structure optimized by DFT (GGA-PBE).

Most intense lines, 10° ≤ 2θ ≤ 90°, sorted by position:
27.90 deg, I = 10, (3 0 0); 28.84 deg, I = 100, (3 -2 2); 31.49 deg, I = 28, (1 0 4); 32.33 deg, I = 15, (2 2 0); 37.02 deg, I = 27, (3 1 2); 39.18 deg, I = 24, (2 1 4); 43.22 deg, I = 22, (1 4 0); 57.14 deg, I = 27, (4 -2 6); 60.77 deg, I = 11, (7 -4 2); 62.28 deg, I = 11, (6 -1 4)

a = 11.0757 Å, b = 11.0757 Å, c = 11.8972 Å
α = 90.00°, β = 90.00°, γ = 120.00°
Space group R-3 (No. 148, hexagonal axes)
Unique sites:
Dy: 0.0291 0.1970 0.3811 x18
Tm: 0.0207 0.2071 0.8885 x18
B: 0.0506 0.2715 0.6885 x18


Computed powder XRD pattern of NaCa2Si3O9 for Cu Kα, 1.54184 Å, from a structure optimized by DFT (GGA-PBE).

Most intense lines, 10° ≤ 2θ ≤ 90°, sorted by position:
25.05 deg, I = 12, (0 2 0); 26.38 deg, I = 24, (0 2 -1); 27.08 deg, I = 19, (0 1 2); 27.94 deg, I = 12, (1 -2 0); 28.66 deg, I = 46, (0 2 1); 30.68 deg, I = 100, (2 0 1); 38.47 deg, I = 24, (0 3 -1); 41.57 deg, I = 17, (-2 1 3); 52.18 deg, I = 18, (4 0 -1); 52.87 deg, I = 11, (2 2 -4)

a = 7.0116 Å, b = 7.1517 Å, c = 8.0928 Å
α = 95.95°, β = 102.34°, γ = 90.35°
Space group P-1 (No. 2)
Unique sites:
Na: 0.2370 0.1540 0.4403 x2
Ca: 0.0880 0.6506 0.8560 x2
Ca: 0.4122 0.3586 0.1501 x2
Si: 0.0924 0.1639 0.7785 x2
Si: 0.2361 0.6439 0.4538 x2
Si: 0.4515 0.8411 0.2191 x2
O: 0.0019 0.9584 0.8020 x2
O: 0.0335 0.7688 0.4031 x2
O: 0.1101 0.3292 0.9337 x2
O: 0.2075 0.4455 0.3329 x2
O: 0.2890 0.6304 0.6565 x2
O: 0.3089 0.1161 0.7346 x2
O: 0.3517 0.0447 0.1886 x2
O: 0.3921 0.6771 0.0616 x2
O: 0.4104 0.7738 0.3992 x2


Computed powder XRD pattern of YMg3Al8 for Cu Kα, 1.54184 Å, from a structure optimized by DFT (GGA-PBE).

Most intense lines, 10° ≤ 2θ ≤ 90°, sorted by position:
10.11 deg, I = 32, (0 0 1); 21.21 deg, I = 35, (1 0 1); 32.51 deg, I = 44, (1 1 0); 36.09 deg, I = 84, (0 1 3); 38.63 deg, I = 100, (1 1 2); 39.15 deg, I = 79, (2 0 1); 60.35 deg, I = 33, (1 2 3); 62.11 deg, I = 24, (0 3 2); 66.23 deg, I = 28, (0 2 5); 68.09 deg, I = 25, (2 2 0)

a = 5.5082 Å, b = 5.5082 Å, c = 8.7524 Å
α = 90.00°, β = 90.00°, γ = 120.00°
Space group P3m1 (No. 156)
Unique sites:
Y: 0.0000 0.0000 0.0000 x1
Mg: 0.0000 0.0000 0.3752 x1
Mg: 0.6667 0.3333 0.4986 x1
Mg: 0.6667 0.3333 0.8653 x1
Al: 0.1625 0.3250 0.6838 x3
Al: 0.3333 0.6667 0.4395 x1
Al: 0.3333 0.6667 0.9349 x1
Al: 0.5039 0.0078 0.1845 x3


Computed powder XRD pattern of CsCd4Cl8 for Cu Kα, 1.54184 Å, from a structure optimized by DFT (GGA-PBE).

Most intense lines, 10° ≤ 2θ ≤ 90°, sorted by position:
12.73 deg, I = 73, (1 1 1); 20.86 deg, I = 18, (2 2 0); 24.51 deg, I = 100, (3 1 1); 25.62 deg, I = 16, (2 2 2); 29.67 deg, I = 53, (4 0 0); 38.85 deg, I = 67, (5 1 1); 42.46 deg, I = 72, (4 4 0); 49.64 deg, I = 17, (5 3 3); 58.90 deg, I = 22, (5 5 3); 77.68 deg, I = 17, (8 4 4)

a = 12.0438 Å, b = 12.0438 Å, c = 12.0438 Å
α = 90.00°, β = 90.00°, γ = 90.00°
Space group F-43m (No. 216)
Unique sites:
Cs: 0.0000 0.0000 0.0000 x4
Cd: 0.1211 0.1211 0.6211 x16
Cl: 0.1069 0.1069 0.3931 x16
Cl: 0.1508 0.1508 0.8492 x16


Computed powder XRD pattern of AcSmSnN3 for Cu Kα, 1.54184 Å, from a structure optimized by DFT (GGA-PBE).

Most intense lines, 10° ≤ 2θ ≤ 90°, sorted by position:
10.35 deg, I = 31, (0 0 1); 11.58 deg, I = 24, (1 0 0); 25.16 deg, I = 32, (2 0 -1); 26.91 deg, I = 40, (0 1 1); 30.79 deg, I = 42, (2 0 -2); 31.41 deg, I = 36, (0 0 3); 32.03 deg, I = 33, (2 0 2); 32.55 deg, I = 83, (0 1 2); 34.25 deg, I = 100, (2 1 0); 46.49 deg, I = 32, (2 1 -3)

a = 7.6460 Å, b = 3.5945 Å, c = 8.5509 Å
α = 90.00°, β = 92.23°, γ = 90.00°
Space group P2_1/m (No. 11)
Unique sites:
Ac: 0.1486 0.2500 0.1773 x2
Sm: 0.3812 0.7500 0.8581 x2
Sn: 0.1615 0.2500 0.5874 x2
N: 0.1290 0.7500 0.4352 x2
N: 0.1344 0.2500 0.8530 x2
N: 0.3918 0.7500 0.1202 x2


Computed powder XRD pattern of TlHg4Pd15 for Cu Kα, 1.54184 Å, from a structure optimized by DFT (GGA-PBE).

Most intense lines, 10° ≤ 2θ ≤ 90°, sorted by position:
21.74 deg, I = 6, (1 0 0); 31.29 deg, I = 5, (1 0 5); 38.42 deg, I = 100, (1 1 5); 44.31 deg, I = 33, (2 0 0); 45.35 deg, I = 16, (0 0 10); 64.47 deg, I = 11, (2 2 0); 65.27 deg, I = 21, (2 0 10); 77.61 deg, I = 25, (3 1 5); 79.10 deg, I = 12, (1 1 15); 82.31 deg, I = 11, (2 2 10)

a = 4.0882 Å, b = 4.0882 Å, c = 19.9984 Å
α = 90.00°, β = 90.00°, γ = 90.00°
Space group P4/mmm (No. 123)
Unique sites:
Tl: 0.0000 0.0000 0.0000 x1
Hg: 0.0000 0.0000 0.2009 x2
Hg: 0.0000 0.0000 0.4003 x2
Pd: 0.0000 0.5000 0.1008 x4
Pd: 0.0000 0.5000 0.3008 x4
Pd: 0.0000 0.5000 0.5000 x2
Pd: 0.5000 0.5000 0.0000 x1
Pd: 0.5000 0.5000 0.2011 x2
Pd: 0.5000 0.5000 0.4006 x2


Computed powder XRD pattern of La8PrHo5 for Cu Kα, 1.54184 Å, from a structure optimized by DFT (GGA-PBE).

Most intense lines, 10° ≤ 2θ ≤ 90°, sorted by position:
25.49 deg, I = 44, (2 -1 1); 28.93 deg, I = 37, (-2 2 1); 30.86 deg, I = 85, (1 2 -1); 31.27 deg, I = 93, (1 1 -3); 31.49 deg, I = 100, (-3 1 1); 31.51 deg, I = 64, (2 -2 2); 32.02 deg, I = 39, (2 0 1); 32.17 deg, I = 39, (1 -3 2); 33.28 deg, I = 52, (0 1 2); 33.59 deg, I = 48, (2 -3 0)

a = 8.6730 Å, b = 8.7133 Å, c = 8.7460 Å
α = 112.88°, β = 98.61°, γ = 116.96°
Space group P1 (No. 1)
Unique sites:
La: 0.0000 0.0000 0.0000 x1
La: 0.0167 0.4075 0.8107 x1
La: 0.3890 0.2751 0.8512 x1
La: 0.4177 0.0006 0.4370 x1
La: 0.5310 0.7542 0.0548 x1
La: 0.6794 0.5414 0.6828 x1
La: 0.8029 0.8956 0.5158 x1
La: 0.8511 0.2745 0.3080 x1
Pr: 0.4824 0.2761 0.2187 x1
Ho: 0.1314 0.7578 0.6347 x1
Ho: 0.1878 0.2338 0.4674 x1
Ho: 0.2725 0.5328 0.2824 x1
Ho: 0.6196 0.0380 0.8438 x1
Ho: 0.9021 0.6301 0.1661 x1


Computed powder XRD pattern of Dy4GaBiC for Cu Kα, 1.54184 Å, from a structure optimized by DFT (GGA-PBE).

Most intense lines, 10° ≤ 2θ ≤ 90°, sorted by position:
26.29 deg, I = 18, (2 0 0); 28.69 deg, I = 74, (2 2 0); 34.25 deg, I = 29, (0 6 0); 34.97 deg, I = 100, (2 4 0); 37.54 deg, I = 64, (2 0 2); 51.71 deg, I = 36, (2 6 2); 54.13 deg, I = 22, (4 0 0); 65.49 deg, I = 18, (2 10 0); 65.63 deg, I = 18, (4 6 0); 66.09 deg, I = 32, (4 4 2)

a = 6.7742 Å, b = 15.7102 Å, c = 6.7800 Å
α = 90.00°, β = 90.00°, γ = 90.00°
Space group Cmcm (No. 63)
Unique sites:
Dy: 0.0000 0.0833 0.2500 x4
Dy: 0.0000 0.4049 0.2500 x4
Dy: 0.2500 0.2500 0.0000 x8
Ga: 0.0000 0.1169 0.7500 x4
Bi: 0.0000 0.3945 0.7500 x4
C: 0.0000 0.2487 0.2500 x4


Computed powder XRD pattern of Na3AgF6 for Cu Kα, 1.54184 Å, from a structure optimized by DFT (GGA-PBE).

Most intense lines, 10° ≤ 2θ ≤ 90°, sorted by position:
18.38 deg, I = 100, (0 1 1); 18.80 deg, I = 32, (1 0 0); 19.06 deg, I = 44, (1 0 -2); 21.47 deg, I = 33, (0 0 2); 21.63 deg, I = 77, (1 1 -1); 30.50 deg, I = 67, (1 1 1); 30.83 deg, I = 63, (1 1 -3); 36.54 deg, I = 33, (2 1 -1); 44.07 deg, I = 44, (2 2 -2); 55.23 deg, I = 35, (3 1 -1)

a = 5.6882 Å, b = 5.9437 Å, c = 9.9749 Å
α = 90.00°, β = 123.93°, γ = 90.00°
Space group P2_1/c (No. 14)
Unique sites:
Na: 0.0000 0.0000 0.0000 x2
Na: 0.2209 0.0616 0.7403 x4
Ag: 0.5000 0.0000 0.5000 x2
F: 0.1376 0.1831 0.4398 x4
F: 0.2377 0.7091 0.4166 x4
F: 0.3991 0.0731 0.2638 x4


Computed powder XRD pattern of Th4P3N for Cu Kα, 1.54184 Å, from a structure optimized by DFT (GGA-PBE).

Most intense lines, 10° ≤ 2θ ≤ 90°, sorted by position:
26.99 deg, I = 100, (1 1 1); 31.27 deg, I = 85, (2 0 0); 44.80 deg, I = 64, (2 2 0); 53.09 deg, I = 50, (3 1 1); 55.65 deg, I = 23, (2 2 2); 65.23 deg, I = 11, (4 0 0); 71.94 deg, I = 21, (3 3 1); 74.11 deg, I = 29, (4 2 0); 82.61 deg, I = 22, (4 2 2); 88.88 deg, I = 17, (5 1 1)

a = 5.7214 Å, b = 5.7214 Å, c = 5.7214 Å
α = 90.00°, β = 90.00°, γ = 90.00°
Space group Pm-3m (No. 221)
Unique sites:
Th: 0.0000 0.0000 0.0000 x1
Th: 0.0000 0.5000 0.5000 x3
P: 0.0000 0.0000 0.5000 x3
N: 0.5000 0.5000 0.5000 x1


Q: Number 2 is which compound?
A: KAg6Pd2


Q: Which formula does entry 8 have?
A: TlHg4Pd15


What did the tenth record say?
Computed powder XRD pattern of Dy4GaBiC for Cu Kα, 1.54184 Å, from a structure optimized by DFT (GGA-PBE).

Most intense lines, 10° ≤ 2θ ≤ 90°, sorted by position:
26.29 deg, I = 18, (2 0 0); 28.69 deg, I = 74, (2 2 0); 34.25 deg, I = 29, (0 6 0); 34.97 deg, I = 100, (2 4 0); 37.54 deg, I = 64, (2 0 2); 51.71 deg, I = 36, (2 6 2); 54.13 deg, I = 22, (4 0 0); 65.49 deg, I = 18, (2 10 0); 65.63 deg, I = 18, (4 6 0); 66.09 deg, I = 32, (4 4 2)

a = 6.7742 Å, b = 15.7102 Å, c = 6.7800 Å
α = 90.00°, β = 90.00°, γ = 90.00°
Space group Cmcm (No. 63)
Unique sites:
Dy: 0.0000 0.0833 0.2500 x4
Dy: 0.0000 0.4049 0.2500 x4
Dy: 0.2500 0.2500 0.0000 x8
Ga: 0.0000 0.1169 0.7500 x4
Bi: 0.0000 0.3945 0.7500 x4
C: 0.0000 0.2487 0.2500 x4